1.
Diffraction record for RbTbNiSe3. The XRD peak list is calculated, not measured: it uses the GGA-PBE geometry in OQMD and copper Kα.

Largest 10 diffraction maxima, by intensity, 2θ from 10° to 90°:
2θ/deg  I_rel
29.6  100.0
36.0  97.2
34.6  88.5
34.8  83.7
41.8  83.0
26.2  82.3
32.4  81.6
30.6  70.9
10.5  68.6
14.0  53.0

Structural model:
a = 11.300 Å, b = 4.326 Å, c = 12.668 Å
α = 90.00°, β = 90.00°, γ = 90.00°
Atoms (fractional coordinates):
Rb: 0.163 0.250 0.001
Rb: 0.337 0.750 0.501
Rb: 0.663 0.250 0.499
Rb: 0.837 0.750 0.999
Tb: 0.008 0.250 0.661
Tb: 0.492 0.750 0.161
Tb: 0.508 0.250 0.839
Tb: 0.992 0.750 0.339
Ni: 0.235 0.250 0.288
Ni: 0.265 0.750 0.788
Ni: 0.735 0.250 0.212
Ni: 0.765 0.750 0.712
Se: 0.055 0.750 0.807
Se: 0.115 0.250 0.447
Se: 0.222 0.750 0.218
Se: 0.278 0.250 0.718
Se: 0.385 0.750 0.947
Se: 0.445 0.250 0.307
Se: 0.555 0.750 0.693
Se: 0.615 0.250 0.053
Se: 0.722 0.750 0.282
Se: 0.778 0.250 0.782
Se: 0.885 0.750 0.553
Se: 0.945 0.250 0.193

---

2.
Diffraction record for Rb2NiTeSe2. The XRD peak list is calculated, not measured: it uses the GGA-PBE geometry in OQMD and copper Kα.

Largest 10 diffraction maxima, by intensity, 2θ from 10° to 90°:
2θ/deg  I_rel
28.4  100.0
27.7  57.4
26.0  46.9
15.0  31.1
35.3  22.7
14.6  22.1
32.1  19.3
34.8  14.8
34.2  14.0
31.0  13.4

Structural model:
a = 6.813 Å, b = 6.991 Å, c = 9.639 Å
α = 96.61°, β = 106.38°, γ = 108.77°
Atoms (fractional coordinates):
Rb: 0.149 0.359 0.178
Rb: 0.316 0.894 0.648
Rb: 0.684 0.106 0.352
Rb: 0.851 0.641 0.822
Ni: 0.354 0.420 0.869
Ni: 0.646 0.580 0.131
Te: 0.053 0.828 0.247
Te: 0.947 0.172 0.753
Se: 0.238 0.351 0.613
Se: 0.440 0.747 0.002
Se: 0.560 0.253 0.998
Se: 0.762 0.649 0.387

---

3.
Diffraction record for RbNi5Te8. The XRD peak list is calculated, not measured: it uses the GGA-PBE geometry in OQMD and copper Kα.

Largest 10 diffraction maxima, by intensity, 2θ from 10° to 90°:
2θ/deg  I_rel
31.6  100.0
30.1  98.9
46.7  59.2
29.7  46.4
57.3  34.3
32.3  33.7
46.5  31.9
10.4  30.8
44.9  29.3
36.6  21.5

Structural model:
a = 10.276 Å, b = 10.276 Å, c = 8.828 Å
α = 105.86°, β = 105.86°, γ = 21.92°
Atoms (fractional coordinates):
Rb: 0.000 0.000 0.000
Ni: 0.163 0.163 0.501
Ni: 0.203 0.203 0.816
Ni: 0.500 0.500 0.500
Ni: 0.797 0.797 0.184
Ni: 0.837 0.837 0.499
Te: 0.070 0.070 0.663
Te: 0.258 0.258 0.342
Te: 0.326 0.326 0.014
Te: 0.408 0.408 0.652
Te: 0.592 0.592 0.348
Te: 0.674 0.674 0.986
Te: 0.742 0.742 0.658
Te: 0.930 0.930 0.337